Starting from DFT lattice parameters and positions (GGA-PBE), the powder X-ray diffraction pattern of TlZn4Pb was computed for Cu Kα (weighted mean of Kα1 and Kα2).
No peak broadening, texture or thermal motion is included.

Structure:
```
TlZn4Pb
1.0
0.0000 3.9733 3.9733
3.9733 0.0000 3.9733
3.9733 3.9733 0.0000
Tl Zn Pb
1 4 1
direct
0.0000 0.0000 0.0000 Tl
0.1250 0.6250 0.6250 Zn
0.6250 0.1250 0.6250 Zn
0.6250 0.6250 0.1250 Zn
0.6250 0.6250 0.6250 Zn
0.2500 0.2500 0.2500 Pb
```

Largest 6 diffraction maxima, in order of rising 2θ, 2θ from 10° to 90°:
| two_theta | I (rel.) |
| --- | --- |
| 19.35 | 18 |
| 31.85 | 68 |
| 37.54 | 100 |
| 56.75 | 27 |
| 60.54 | 33 |
| 66.57 | 24 |

***

Starting from DFT lattice parameters and positions (GGA-PBE), the powder X-ray diffraction pattern of La2HIrPb was computed for Cu Kα (weighted mean of Kα1 and Kα2).
No peak broadening, texture or thermal motion is included.

Structure:
```
La2HIrPb
1.0
5.2448 0.0000 0.0000
0.0000 5.2448 0.0000
0.0000 0.0000 4.0467
La H Ir Pb
2 1 1 1
direct
0.0000 0.5000 0.0000 La
0.5000 0.0000 0.0000 La
0.0000 0.0000 0.0000 H
0.0000 0.0000 0.5000 Ir
0.5000 0.5000 0.5000 Pb
```

Largest 6 diffraction maxima, in order of rising 2θ, 2θ from 10° to 90°:
| two_theta | I (rel.) |
| --- | --- |
| 32.75 | 100 |
| 34.19 | 45 |
| 49.13 | 16 |
| 57.53 | 20 |
| 60.31 | 35 |
| 68.66 | 12 |

***

Starting from DFT lattice parameters and positions (GGA-PBE), the powder X-ray diffraction pattern of Pr2TmZn6 was computed for Cu Kα (weighted mean of Kα1 and Kα2).
No peak broadening, texture or thermal motion is included.

Structure:
```
Pr2TmZn6
1.0
7.8899 0.0000 0.0000
-3.9449 6.8328 0.0000
0.0000 0.0000 3.5713
Pr Tm Zn
2 1 6
direct
0.3333 0.6667 0.0000 Pr
0.6667 0.3333 0.0000 Pr
0.0000 0.0000 0.0000 Tm
0.0000 0.3272 0.5000 Zn
0.0000 0.6728 0.5000 Zn
0.3272 0.0000 0.5000 Zn
0.3272 0.3272 0.5000 Zn
0.6728 0.0000 0.5000 Zn
0.6728 0.6728 0.5000 Zn
```

Largest 6 diffraction maxima, in order of rising 2θ, 2θ from 10° to 90°:
| two_theta | I (rel.) |
| --- | --- |
| 22.54 | 18 |
| 33.86 | 100 |
| 39.57 | 57 |
| 53.04 | 28 |
| 66.54 | 24 |
| 68.15 | 25 |